PrV2WO8: simulated X-ray powder pattern (Cu Kα (weighted mean of Kα1 and Kα2)), based on a cell relaxed with GGA+U.
Lines closer than 0.1° are merged.

Principal peaks in the range 10° ≤ 2θ ≤ 90°, most intense first:
(1 1 2), 32.98 deg, intensity 100
(2 0 0), 27.02 deg, intensity 68
(0 2 0), 25.84 deg, intensity 63
(1 1 0), 18.61 deg, intensity 61
(1 3 2), 50.29 deg, intensity 43
(3 1 2), 51.66 deg, intensity 36
(2 2 0), 37.73 deg, intensity 27
(2 0 2), 38.57 deg, intensity 25
(3 3 2), 65.14 deg, intensity 23
(0 2 4), 62.37 deg, intensity 18

Crystal structure
```
data_PrV2WO8
_chemical_formula_sum 'Pr2 V4 W2 O16'
_space_group_name_H-M_alt 'C m m m'
_space_group_IT_number 65
_space_group_name_Hall '-C 2 2'
_cell_length_a 6.597
_cell_length_b 6.897
_cell_length_c 6.608
_cell_angle_alpha 90.00
_cell_angle_beta 90.00
_cell_angle_gamma 90.00
loop_
_atom_site_label
_atom_site_fract_x
_atom_site_fract_y
_atom_site_fract_z
_atom_site_occupancy
Pr1 0.000 0.000 0.000 1
V1 0.000 0.500 0.246 1
W1 0.000 0.000 0.500 1
O1 0.000 0.285 0.500 1
O2 0.000 0.333 0.000 1
O3 0.209 0.000 0.289 1
```